No. 1
Diffraction record for KCu2SbS3. The powder diffraction line list is simulated, not measured: it uses a DFT-relaxed cell (PBE, Alexandria) and Cu Ka.
Neutral-atom scattering factors, no anomalous dispersion.

Largest 8 diffraction maxima, in order of rising 2θ, 10 to 90 degrees two-theta:
2θ/deg	I/Imax
27.69	54.4
28.73	40.8
29.10	85.5
29.18	51.2
30.27	100.0
30.37	80.7
30.92	80.5
33.99	50.3

Structural model:
a = 6.4453 Å, b = 9.2044 Å, c = 10.5508 Å
α = 90.64°, β = 90.88°, γ = 91.16°
Atoms (fractional coordinates):
K 0.1983 0.4265 0.1314
K 0.2932 0.5665 0.6266
K 0.7068 0.4335 0.3734
K 0.8017 0.5735 0.8686
Cu 0.0072 0.8861 0.6713
Cu 0.0781 0.8383 0.0462
Cu 0.4261 0.1542 0.5387
Cu 0.4825 0.2610 0.8606
Cu 0.5175 0.7390 0.1394
Cu 0.5739 0.8458 0.4613
Cu 0.9219 0.1617 0.9538
Cu 0.9928 0.1139 0.3287
Sb 0.0355 0.8199 0.3512
Sb 0.4781 0.9554 0.8538
Sb 0.5219 0.0446 0.1462
Sb 0.9645 0.1801 0.6488
S 0.1334 0.0754 0.1344
S 0.1357 0.3110 0.8337
S 0.1473 0.2846 0.4594
S 0.3478 0.7178 0.9461
S 0.3561 0.9229 0.6287
S 0.3716 0.6878 0.3313
S 0.6284 0.3122 0.6687
S 0.6439 0.0771 0.3713
S 0.6522 0.2822 0.0539
S 0.8527 0.7154 0.5406
S 0.8643 0.6890 0.1663
S 0.8666 0.9246 0.8656


No. 2
Diffraction record for K2CuSbS3. The powder diffraction line list is simulated, not measured: it uses a DFT-relaxed cell (PBE, Alexandria) and Cu Ka.
Neutral-atom scattering factors, no anomalous dispersion.

Largest 8 diffraction maxima, in order of rising 2θ, 10 to 90 degrees two-theta:
2θ/deg	I/Imax
17.85	78.4
24.09	57.0
24.66	54.3
28.64	100.0
28.97	89.6
29.45	47.6
31.91	48.4
32.53	52.4

Structural model:
a = 6.3575 Å, b = 18.1984 Å, c = 7.5878 Å
α = 90.00°, β = 120.32°, γ = 90.00°
Atoms (fractional coordinates):
K 0.0841 0.1191 0.1421
K 0.0841 0.3809 0.6421
K 0.3546 0.0420 0.7112
K 0.3546 0.4580 0.2112
K 0.6454 0.5420 0.7888
K 0.6454 0.9580 0.2888
K 0.9159 0.6191 0.3579
K 0.9159 0.8809 0.8579
Cu 0.3824 0.2228 0.9354
Cu 0.3824 0.2772 0.4354
Cu 0.6176 0.7228 0.5646
Cu 0.6176 0.7772 0.0646
Sb 0.2353 0.6766 0.0034
Sb 0.2353 0.8234 0.5034
Sb 0.7647 0.1766 0.4966
Sb 0.7647 0.3234 0.9966
S 0.1616 0.5623 0.8169
S 0.1616 0.9377 0.3169
S 0.2024 0.2099 0.5898
S 0.2024 0.2901 0.0898
S 0.4047 0.6278 0.3530
S 0.4047 0.8722 0.8530
S 0.5953 0.1278 0.1470
S 0.5953 0.3723 0.6470
S 0.7976 0.7099 0.9102
S 0.7976 0.7901 0.4102
S 0.8384 0.0623 0.6831
S 0.8384 0.4377 0.1831


No. 3
Diffraction record for K2CuSnS. The powder diffraction line list is simulated, not measured: it uses a DFT-relaxed cell (PBE, Alexandria) and Cu Ka.
Neutral-atom scattering factors, no anomalous dispersion.

Largest 8 diffraction maxima, in order of rising 2θ, 10 to 90 degrees two-theta:
2θ/deg	I/Imax
12.94	40.7
18.35	47.7
22.03	75.3
26.06	100.0
34.38	50.9
37.18	38.0
44.93	43.3
52.68	26.5

Structural model:
a = 6.8393 Å, b = 6.8393 Å, c = 4.9970 Å
α = 90.00°, β = 90.00°, γ = 90.00°
Atoms (fractional coordinates):
K 0.0000 0.5000 0.0000
K 0.5000 0.0000 0.0000
Cu 0.0000 0.0000 0.5000
Sn 0.5000 0.5000 0.0000
S 0.5000 0.5000 0.5000


No. 4
Diffraction record for K3Ta2Cu3S8. The powder diffraction line list is simulated, not measured: it uses a DFT-relaxed cell (PBE, Alexandria) and Cu Ka.
Neutral-atom scattering factors, no anomalous dispersion.

Largest 8 diffraction maxima, in order of rising 2θ, 10 to 90 degrees two-theta:
2θ/deg	I/Imax
12.41	19.5
13.97	100.0
15.89	41.4
16.68	32.0
17.04	27.5
25.18	26.3
26.51	21.3
30.52	16.8

Structural model:
a = 12.3869 Å, b = 12.3869 Å, c = 14.3992 Å
α = 117.49°, β = 117.49°, γ = 26.07°
Atoms (fractional coordinates):
K 0.0000 0.0000 0.0000
K 0.0000 0.0000 0.5000
K 0.2449 0.3530 0.8979
K 0.3530 0.2449 0.3979
K 0.6470 0.7551 0.6021
K 0.7551 0.6470 0.1021
Ta 0.1709 0.5846 0.2253
Ta 0.4154 0.8291 0.2747
Ta 0.5846 0.1709 0.7253
Ta 0.8291 0.4154 0.7747
Cu 0.0886 0.6743 0.7249
Cu 0.2888 0.7112 0.2500
Cu 0.3257 0.9114 0.7751
Cu 0.6743 0.0886 0.2249
Cu 0.7112 0.2888 0.7500
Cu 0.9114 0.3257 0.2751
S 0.0284 0.1457 0.8684
S 0.1102 0.1961 0.6808
S 0.1457 0.0284 0.3684
S 0.1961 0.1102 0.1808
S 0.2562 0.3387 0.6176
S 0.3387 0.2562 0.1176
S 0.4330 0.4887 0.8402
S 0.4887 0.4330 0.3402
S 0.5113 0.5670 0.6598
S 0.5670 0.5113 0.1598
S 0.6613 0.7438 0.8824
S 0.7438 0.6613 0.3824
S 0.8039 0.8898 0.8192
S 0.8543 0.9716 0.6316
S 0.8898 0.8039 0.3192
S 0.9716 0.8543 0.1316


No. 5
Diffraction record for KCu2Te2S6. The powder diffraction line list is simulated, not measured: it uses a DFT-relaxed cell (PBE, Alexandria) and Cu Ka.
Neutral-atom scattering factors, no anomalous dispersion.

Largest 8 diffraction maxima, in order of rising 2θ, 10 to 90 degrees two-theta:
2θ/deg	I/Imax
11.07	100.0
13.22	18.0
15.14	42.7
16.08	20.5
17.61	13.7
22.05	14.6
26.41	26.3
28.68	15.2

Structural model:
a = 6.7033 Å, b = 8.0120 Å, c = 8.0790 Å
α = 86.52°, β = 88.66°, γ = 87.71°
Atoms (fractional coordinates):
K 0.0000 0.0000 0.0000
Cu 0.4361 0.6698 0.2334
Cu 0.5639 0.3302 0.7666
Te 0.0398 0.4614 0.7454
Te 0.9602 0.5386 0.2546
S 0.2082 0.6316 0.4413
S 0.2115 0.6346 0.0395
S 0.2709 0.2266 0.7500
S 0.7291 0.7734 0.2500
S 0.7885 0.3654 0.9605
S 0.7918 0.3684 0.5587


No. 6
Diffraction record for K2ThCuS4. The powder diffraction line list is simulated, not measured: it uses a DFT-relaxed cell (PBE, Alexandria) and Cu Ka.
Neutral-atom scattering factors, no anomalous dispersion.

Largest 8 diffraction maxima, in order of rising 2θ, 10 to 90 degrees two-theta:
2θ/deg	I/Imax
12.37	100.0
24.88	38.0
25.51	62.4
26.73	42.8
31.75	31.1
32.08	28.8
41.16	30.5
43.40	23.8

Structural model:
a = 7.9587 Å, b = 7.9587 Å, c = 8.4795 Å
α = 113.56°, β = 113.56°, γ = 90.18°
Atoms (fractional coordinates):
K 0.0000 0.0000 0.0000
K 0.0000 0.0000 0.5000
K 0.0000 0.5000 0.0000
K 0.5000 0.0000 0.5000
Th 0.5000 0.5000 0.0000
Th 0.5000 0.5000 0.5000
Cu 0.0000 0.5000 0.5000
Cu 0.5000 0.0000 0.0000
S 0.1929 0.6678 0.4440
S 0.2703 0.3314 0.5968
S 0.3314 0.2703 0.0968
S 0.3322 0.8071 0.0560
S 0.6678 0.1929 0.9440
S 0.6686 0.7297 0.9032
S 0.7297 0.6686 0.4032
S 0.8071 0.3322 0.5560


No. 7
Diffraction record for K3Th2Cu3S7. The powder diffraction line list is simulated, not measured: it uses a DFT-relaxed cell (PBE, Alexandria) and Cu Ka.
Neutral-atom scattering factors, no anomalous dispersion.

Largest 8 diffraction maxima, in order of rising 2θ, 10 to 90 degrees two-theta:
2θ/deg	I/Imax
12.29	100.0
12.81	68.3
24.98	34.5
28.75	32.6
29.08	53.6
32.27	50.7
34.10	22.5
41.08	31.9

Structural model:
a = 7.4814 Å, b = 7.4814 Å, c = 24.7151 Å
α = 90.00°, β = 90.00°, γ = 148.42°
Atoms (fractional coordinates):
K 0.0473 0.9527 0.5633
K 0.0473 0.9527 0.9367
K 0.4316 0.5684 0.2500
K 0.5684 0.4316 0.7500
K 0.9527 0.0473 0.0633
K 0.9527 0.0473 0.4367
Th 0.3091 0.6909 0.6418
Th 0.3091 0.6909 0.8582
Th 0.6909 0.3091 0.1418
Th 0.6909 0.3091 0.3582
Cu 0.1606 0.8394 0.2500
Cu 0.2375 0.7625 0.0374
Cu 0.2375 0.7625 0.4626
Cu 0.7625 0.2375 0.5374
Cu 0.7625 0.2375 0.9626
Cu 0.8394 0.1606 0.7500
S 0.0679 0.9321 0.1725
S 0.0679 0.9321 0.3275
S 0.2487 0.7513 0.7500
S 0.3169 0.6831 0.1204
S 0.3169 0.6831 0.3796
S 0.3568 0.6432 0.5321
S 0.3568 0.6432 0.9679
S 0.6432 0.3568 0.0321
S 0.6432 0.3568 0.4679
S 0.6831 0.3169 0.6204
S 0.6831 0.3169 0.8796
S 0.7513 0.2487 0.2500
S 0.9321 0.0679 0.6725
S 0.9321 0.0679 0.8275


No. 8
Diffraction record for K2TiCu2S4. The powder diffraction line list is simulated, not measured: it uses a DFT-relaxed cell (PBE, Alexandria) and Cu Ka.
Neutral-atom scattering factors, no anomalous dispersion.

Largest 8 diffraction maxima, in order of rising 2θ, 10 to 90 degrees two-theta:
2θ/deg	I/Imax
13.67	86.1
26.44	27.4
30.68	100.0
35.00	81.3
42.76	38.9
45.96	58.5
53.66	58.0
56.29	30.0

Structural model:
a = 5.5843 Å, b = 5.5843 Å, c = 12.9533 Å
α = 90.00°, β = 90.00°, γ = 90.00°
Atoms (fractional coordinates):
K 0.2424 0.2424 0.0000
K 0.2424 0.7576 0.5000
K 0.7576 0.2424 0.5000
K 0.7576 0.7576 0.0000
Ti 0.5000 0.5000 0.2500
Ti 0.5000 0.5000 0.7500
Cu 0.0000 0.5000 0.2500
Cu 0.0000 0.5000 0.7500
Cu 0.5000 0.0000 0.2500
Cu 0.5000 0.0000 0.7500
S 0.2610 0.2610 0.3496
S 0.2610 0.2610 0.6504
S 0.2610 0.7390 0.1504
S 0.2610 0.7390 0.8496
S 0.7390 0.2610 0.1504
S 0.7390 0.2610 0.8496
S 0.7390 0.7390 0.3496
S 0.7390 0.7390 0.6504